Diffraction record for Dy3TaO7. The powder XRD pattern is computed, not measured: it uses a GGA-PBE-relaxed structure and copper Kα.
Peak positions follow from Bragg's law for the DFT cell and can differ from measured ones.

Most intense lines, 5° ≤ 2θ ≤ 70°, by angle:
| 2θ (°) | d [Å] | I (rel.) |
| --- | --- | --- |
| 29.13 | 3.065 | 100 |
| 29.80 | 2.999 | 95 |
| 33.40 | 2.682 | 23 |
| 34.52 | 2.598 | 45 |
| 48.79 | 1.867 | 77 |
| 50.47 | 1.808 | 15 |
| 58.20 | 1.585 | 29 |
| 59.34 | 1.557 | 26 |

Structural model:
```
data_Dy3TaO7
_space_group_name_H-M_alt 'C m m e'
_space_group_IT_number 67
_space_group_name_Hall '-C 2a 2'
_cell_length_a 7.470
_cell_length_b 14.465
_cell_length_c 5.365
_cell_angle_alpha 90.00
_cell_angle_beta 90.00
_cell_angle_gamma 90.00
loop_
_atom_site_label
_atom_site_type_symbol
_atom_site_fract_x
_atom_site_fract_y
_atom_site_fract_z
Dy1 Dy 0.000 0.120 0.028
Dy2 Dy 0.250 0.250 0.500
Ta1 Ta 0.250 0.000 0.500
O1 O 0.000 0.013 0.289
O2 O 0.000 0.250 0.256
O3 O 0.218 0.119 0.736
```